Structure and simulated powder diffraction line list of Ba4Pt (a cell relaxed with GGA-PBE; Cu Kα, 1.54184 Å).

Structural model:
Lattice parameters (Å, degrees): 9.147 7.513 9.048 90.00 119.52 90.00
Space group P2_1/c (No. 14)
Symmetry-distinct sites (fractional):
Ba: 0.156 0.249 0.329 (multiplicity 4)
Ba: 0.327 0.724 0.662 (multiplicity 4)
Pt: 0.000 0.000 0.000 (multiplicity 2)

Top 8 peaks for 10° ≤ 2θ ≤ 90°, in order of rising 2θ:
11.12°, intensity 374; 16.31°, intensity 639; 25.33°, intensity 533; 25.56°, intensity 1000; 32.78°, intensity 244; 32.97°, intensity 530; 39.37°, intensity 399; 42.81°, intensity 223